This entry pairs a crystal structure of Y2PuIn3 with its calculated powder diffractogram. Radiation: Cu Kα (λ = 1.5418 Å). Structure: DFT lattice parameters and positions (GGA-PBE).
Neutral-atom scattering factors, no anomalous dispersion.

Atomic structure:
```
Y2PuIn3
1.0
3.7360 0.0000 0.0000
0.0000 3.7360 0.0000
0.0000 0.0000 11.5756
Y Pu In
2 1 3
direct
0.0000 0.0000 0.1646
0.0000 0.0000 0.8354
0.0000 0.0000 0.5000
0.5000 0.5000 0.0000
0.5000 0.5000 0.3282
0.5000 0.5000 0.6718
```

Largest 10 diffraction maxima, most intense first, 2θ from 10° to 80°:
- 2θ = 33.38°, rel. 100.0
- 2θ = 33.93°, rel. 48.0
- 2θ = 60.37°, rel. 35.6
- 2θ = 59.31°, rel. 18.6
- 2θ = 48.75°, rel. 17.1
- 2θ = 70.12°, rel. 11.2
- 2θ = 47.11°, rel. 9.4
- 2θ = 78.68°, rel. 8.0
- 2θ = 25.05°, rel. 7.4
- 2θ = 28.44°, rel. 6.4